The following is a theoretical powder XRD pattern of Sc2TlI6. It was derived from the GGA-PBE geometry in Alexandria, using λ = 1.5418 Å (Cu Kα).

```
data_Sc2TlI6
_cell_length_a 7.4669
_cell_length_b 7.4669
_cell_length_c 7.9821
_cell_angle_alpha 90.00
_cell_angle_beta 90.00
_cell_angle_gamma 120.00
_space_group_name_H-M_alt 'P -3 1 m'
_space_group_IT_number 162
_space_group_name_Hall '-P 3 2'
loop_
_atom_site_label
_atom_site_type_symbol
_atom_site_fract_x
_atom_site_fract_y
_atom_site_fract_z
Sc1 Sc 0.3333 0.6667 0.0000
Tl1 Tl 0.0000 0.0000 0.5000
I1 I 0.0000 0.3610 0.2138
```

Top 12 peaks for 2θ = 5–70°, low angle first:
- 2θ = 17.65°, rel. 42.4, hkl 1 0 1
- 2θ = 26.24°, rel. 11.3, hkl 1 0 2
- 2θ = 26.35°, rel. 100.0, hkl 1 1 1
- 2θ = 27.59°, rel. 10.6, hkl 2 0 0
- 2θ = 32.85°, rel. 62.2, hkl 2 -1 2
- 2θ = 38.52°, rel. 15.6, hkl 3 -1 1
- 2θ = 41.68°, rel. 17.6, hkl 1 1 3
- 2θ = 41.91°, rel. 32.6, hkl 3 0 0
- 2θ = 50.19°, rel. 14.3, hkl 4 -2 1
- 2θ = 54.25°, rel. 12.8, hkl 2 2 2
- 2θ = 63.53°, rel. 9.9, hkl 3 0 4
- 2θ = 67.39°, rel. 9.8, hkl 4 1 1


The following is a theoretical powder XRD pattern of Mg2Ti7O15. It was derived from the GGA-PBE geometry in Alexandria, using λ = 1.5418 Å (Cu Kα).

```
data_Mg2Ti7O15
_cell_length_a 5.2588
_cell_length_b 10.1129
_cell_length_c 10.6708
_cell_angle_alpha 90.00
_cell_angle_beta 96.29
_cell_angle_gamma 90.00
_space_group_name_H-M_alt 'P 1 21/m 1'
_space_group_IT_number 11
loop_
_space_group_symop_operation_xyz
'x,y,z'
'-x,-y,-z'
'-x,y+1/2,-z'
'x,-y+1/2,z'
loop_
_atom_site_label
_atom_site_type_symbol
_atom_site_fract_x
_atom_site_fract_y
_atom_site_fract_z
Mg1 Mg 0.0126 0.2500 0.3986
Mg2 Mg 0.3259 0.7500 0.9362
Ti1 Ti 0.1111 0.5619 0.3797
Ti2 Ti 0.2239 0.0622 0.9565
Ti3 Ti 0.3421 0.2500 0.7311
Ti4 Ti 0.4376 0.5694 0.7129
O1 O 0.0517 0.2500 0.5972
O2 O 0.0748 0.6135 0.9848
O3 O 0.1508 0.0672 0.7697
O4 O 0.1853 0.5668 0.5618
O5 O 0.2602 0.1114 0.3477
O6 O 0.2958 0.7500 0.7405
O7 O 0.3718 0.2500 0.9174
O8 O 0.4151 0.6197 0.3171
O9 O 0.4774 0.0675 0.1031
```

Top 12 peaks for 2θ = 5–70°, low angle first:
- 2θ = 17.54°, rel. 24.3, hkl 0 2 0
- 2θ = 18.08°, rel. 30.6, hkl 1 0 -1
- 2θ = 25.19°, rel. 100.0, hkl 1 0 2
- 2θ = 32.22°, rel. 67.6, hkl 1 3 -1
- 2θ = 36.28°, rel. 15.2, hkl 1 0 -4
- 2θ = 36.84°, rel. 14.7, hkl 0 3 3
- 2θ = 40.88°, rel. 17.1, hkl 2 2 -2
- 2θ = 45.74°, rel. 19.0, hkl 2 3 -2
- 2θ = 48.02°, rel. 33.9, hkl 1 0 5
- 2θ = 55.79°, rel. 16.0, hkl 3 2 0
- 2θ = 59.01°, rel. 20.3, hkl 0 3 6
- 2θ = 59.73°, rel. 18.9, hkl 2 3 -5


The following is a theoretical powder XRD pattern of Zn3Ni4Pt. It was derived from the GGA-PBE geometry in Alexandria, using λ = 1.5418 Å (Cu Kα).

```
data_Zn3Ni4Pt
_cell_length_a 8.4698
_cell_length_b 5.3427
_cell_length_c 4.4205
_cell_angle_alpha 90.00
_cell_angle_beta 90.00
_cell_angle_gamma 90.00
_space_group_name_H-M_alt 'P m m a'
_space_group_IT_number 51
loop_
_space_group_symop_operation_xyz
'x,y,z'
'-x,-y,-z'
'-x+1/2,-y,z'
'x+1/2,y,-z'
'x+1/2,-y,-z'
'-x+1/2,y,z'
'-x,y,-z'
'x,-y,z'
loop_
_atom_site_label
_atom_site_type_symbol
_atom_site_fract_x
_atom_site_fract_y
_atom_site_fract_z
Zn1 Zn 0.0000 0.0000 0.0000
Zn2 Zn 0.2500 0.0000 0.3705
Zn3 Zn 0.2500 0.5000 0.3653
Ni1 Ni 0.0000 0.2437 0.5000
Ni2 Ni 0.2500 0.2473 0.8520
Pt1 Pt 0.0000 0.5000 0.0000
```

Top 12 peaks for 2θ = 5–70°, low angle first:
- 2θ = 16.59°, rel. 12.0, hkl 0 1 0
- 2θ = 26.16°, rel. 10.4, hkl 0 1 1
- 2θ = 26.86°, rel. 8.5, hkl 2 1 0
- 2θ = 29.20°, rel. 11.4, hkl 2 0 1
- 2θ = 33.77°, rel. 10.8, hkl 2 1 1
- 2θ = 39.41°, rel. 11.0, hkl 0 2 1
- 2θ = 40.86°, rel. 30.4, hkl 0 0 2
- 2θ = 42.26°, rel. 13.3, hkl 1 0 2
- 2θ = 42.70°, rel. 40.4, hkl 4 0 0
- 2θ = 45.06°, rel. 100.0, hkl 2 2 1
- 2θ = 46.34°, rel. 28.1, hkl 2 0 2
- 2θ = 51.43°, rel. 9.0, hkl 3 2 1


The following is a theoretical powder XRD pattern of Ag3HgPd. It was derived from the GGA-PBE geometry in Alexandria, using λ = 1.5418 Å (Cu Kα).

```
data_Ag3HgPd
_cell_length_a 4.7598
_cell_length_b 7.5202
_cell_length_c 5.5295
_cell_angle_alpha 90.00
_cell_angle_beta 90.28
_cell_angle_gamma 90.00
_space_group_name_H-M_alt 'P 1 21/m 1'
_space_group_IT_number 11
loop_
_space_group_symop_operation_xyz
'x,y,z'
'-x,-y,-z'
'-x,y+1/2,-z'
'x,-y+1/2,z'
loop_
_atom_site_label
_atom_site_type_symbol
_atom_site_fract_x
_atom_site_fract_y
_atom_site_fract_z
Ag1 Ag 0.1750 0.0672 0.2149
Ag2 Ag 0.1752 0.2500 0.7417
Hg1 Hg 0.3308 0.7500 0.5196
Pd1 Pd 0.3304 0.7500 0.0009
```

Top 12 peaks for 2θ = 5–70°, low angle first:
- 2θ = 23.66°, rel. 42.0, hkl 0 2 0
- 2θ = 28.71°, rel. 11.6, hkl 0 2 1
- 2θ = 30.29°, rel. 17.2, hkl 1 2 0
- 2θ = 34.46°, rel. 56.2, hkl 1 2 1
- 2θ = 37.75°, rel. 54.0, hkl 1 0 2
- 2θ = 39.47°, rel. 98.0, hkl 1 1 -2
- 2θ = 39.68°, rel. 100.0, hkl 2 1 0
- 2θ = 40.50°, rel. 30.0, hkl 0 2 2
- 2θ = 40.68°, rel. 36.2, hkl 1 3 0
- 2θ = 48.42°, rel. 13.1, hkl 0 4 0
- 2θ = 63.66°, rel. 20.9, hkl 2 3 2
- 2θ = 68.30°, rel. 11.5, hkl 3 0 2


The following is a theoretical powder XRD pattern of DyY2TlN. It was derived from the GGA-PBE geometry in Alexandria, using λ = 1.5418 Å (Cu Kα).

```
data_DyY2TlN
_cell_length_a 4.8319
_cell_length_b 4.8319
_cell_length_c 4.8236
_cell_angle_alpha 90.00
_cell_angle_beta 90.00
_cell_angle_gamma 90.00
_space_group_name_H-M_alt 'P 4/m m m'
_space_group_IT_number 123
_space_group_name_Hall '-P 4 2'
loop_
_atom_site_label
_atom_site_type_symbol
_atom_site_fract_x
_atom_site_fract_y
_atom_site_fract_z
Dy1 Dy 0.0000 0.0000 0.0000
Y1 Y 0.0000 0.5000 0.5000
Tl1 Tl 0.5000 0.5000 0.0000
N1 N 0.0000 0.0000 0.5000
```

Top 12 peaks for 2θ = 5–70°, low angle first:
- 2θ = 18.39°, rel. 8.9, hkl 0 0 1
- 2θ = 26.08°, rel. 12.7, hkl 1 1 0
- 2θ = 32.10°, rel. 100.0, hkl 1 1 1
- 2θ = 37.24°, rel. 55.6, hkl 2 0 0
- 2θ = 41.82°, rel. 5.2, hkl 2 0 1
- 2θ = 46.06°, rel. 5.7, hkl 1 1 2
- 2θ = 53.68°, rel. 38.4, hkl 2 2 0
- 2θ = 57.21°, rel. 2.3, hkl 2 2 1
- 2θ = 57.30°, rel. 0.5, hkl 0 0 3
- 2θ = 60.60°, rel. 2.4, hkl 3 1 0
- 2θ = 63.94°, rel. 41.8, hkl 3 1 1
- 2θ = 67.15°, rel. 12.9, hkl 2 2 2


The following is a theoretical powder XRD pattern of ThAlTe4. It was derived from the GGA-PBE geometry in Alexandria, using λ = 1.5418 Å (Cu Kα).

```
data_ThAlTe4
_cell_length_a 10.1840
_cell_length_b 10.1840
_cell_length_c 8.8917
_cell_angle_alpha 90.00
_cell_angle_beta 90.00
_cell_angle_gamma 90.00
_space_group_name_H-M_alt 'I 41/a m d'
_space_group_IT_number 141
loop_
_space_group_symop_operation_xyz
'x,y,z'
'-x,-y,-z'
'-y+1/4,x+3/4,z+1/4'
'y+1/4,-x+3/4,-z+1/4'
'-x+1/2,-y,z+1/2'
'x+1/2,y,-z+1/2'
'y+1/4,-x+1/4,z+3/4'
'-y+1/4,x+1/4,-z+3/4'
'x,-y,-z'
'-x,y,z'
'-y+1/4,-x+1/4,-z+3/4'
'y+1/4,x+1/4,z+3/4'
'-x+1/2,y,-z+1/2'
'x+1/2,-y,z+1/2'
'y+1/4,x+3/4,-z+1/4'
'-y+1/4,-x+3/4,z+1/4'
'x+1/2,y+1/2,z+1/2'
'-x+1/2,-y+1/2,-z+1/2'
'-y+3/4,x+1/4,z+3/4'
'y+3/4,-x+1/4,-z+3/4'
'-x,-y+1/2,z'
'x,y+1/2,-z'
'y+3/4,-x+3/4,z+1/4'
'-y+3/4,x+3/4,-z+1/4'
'x+1/2,-y+1/2,-z+1/2'
'-x+1/2,y+1/2,z+1/2'
'-y+3/4,-x+3/4,-z+1/4'
'y+3/4,x+3/4,z+1/4'
'-x,y+1/2,-z'
'x,-y+1/2,z'
'y+3/4,x+1/4,-z+3/4'
'-y+3/4,-x+1/4,z+3/4'
loop_
_atom_site_label
_atom_site_type_symbol
_atom_site_fract_x
_atom_site_fract_y
_atom_site_fract_z
Th1 Th 0.0000 0.2500 0.3750
Al1 Al 0.0000 0.2500 0.8750
Te1 Te 0.0000 0.0643 0.6719
```

Top 12 peaks for 2θ = 5–70°, low angle first:
- 2θ = 13.22°, rel. 75.4, hkl 1 0 1
- 2θ = 17.42°, rel. 79.7, hkl 2 0 0
- 2θ = 26.62°, rel. 29.8, hkl 2 0 2
- 2θ = 28.14°, rel. 100.0, hkl 3 0 1
- 2θ = 31.44°, rel. 55.2, hkl 1 0 3
- 2θ = 33.28°, rel. 42.0, hkl 3 2 1
- 2θ = 34.39°, rel. 73.4, hkl 3 1 2
- 2θ = 35.25°, rel. 31.0, hkl 4 0 0
- 2θ = 40.40°, rel. 23.7, hkl 3 0 3
- 2θ = 42.81°, rel. 61.7, hkl 3 3 2
- 2θ = 45.70°, rel. 29.5, hkl 4 3 1
- 2θ = 62.02°, rel. 19.0, hkl 6 3 1


- What is the formula in the sixth record?
  ThAlTe4